1.
# SnPd6Pt12
Computed powder diffraction line list, CuKα. Input: a structure optimized by DFT (GGA-PBE).
Peak positions follow from Bragg's law for the DFT cell and can differ from measured ones.

```
SnPd6Pt12
1.0
7.208 0.000 0.000
-3.547 6.342 0.000
-1.920 -2.493 6.932
Sn Pd Pt
1 6 12
Direct
0.000 0.000 0.000
0.310 0.340 0.326
0.428 0.151 0.002
0.448 0.046 0.325
0.552 0.954 0.675
0.572 0.849 0.998
0.690 0.660 0.674
0.019 0.908 0.331
0.126 0.807 0.675
0.158 0.621 0.324
0.189 0.456 0.000
0.258 0.516 0.666
0.411 0.238 0.669
0.589 0.762 0.331
0.742 0.484 0.334
0.811 0.544 0.000
0.842 0.379 0.676
0.874 0.193 0.325
0.981 0.092 0.669
```

The 8 most intense peaks (5 to 70 degrees two-theta), by angle:
- 2θ = 37.86°, I 32
- 2θ = 38.56°, I 50
- 2θ = 38.98°, I 100
- 2θ = 41.35°, I 71
- 2θ = 41.46°, I 70
- 2θ = 43.68°, I 31
- 2θ = 43.80°, I 61
- 2θ = 44.10°, I 60



2.
# Tb6CeGa3
Computed powder diffraction line list, CuKα. Input: a structure optimized by DFT (GGA-PBE).
Peak positions follow from Bragg's law for the DFT cell and can differ from measured ones.

```
Tb6CeGa3
1.0
5.468 -6.960 0.000
5.468 6.960 0.000
0.000 0.000 7.580
Tb Ce Ga
12 2 6
Direct
0.025 0.975 0.500
0.058 0.443 0.051
0.254 0.746 0.334
0.289 0.352 0.374
0.352 0.289 0.874
0.443 0.058 0.551
0.557 0.942 0.051
0.648 0.711 0.374
0.711 0.648 0.874
0.746 0.254 0.834
0.942 0.557 0.551
0.975 0.025 0.000
0.221 0.779 0.860
0.779 0.221 0.360
0.059 0.283 0.682
0.283 0.059 0.182
0.412 0.588 0.080
0.588 0.412 0.580
0.717 0.941 0.682
0.941 0.717 0.182
```

The 8 most intense peaks (5 to 70 degrees two-theta), by angle:
- 2θ = 25.62°, I 19
- 2θ = 31.47°, I 100
- 2θ = 32.72°, I 72
- 2θ = 34.75°, I 29
- 2θ = 35.00°, I 20
- 2θ = 35.29°, I 17
- 2θ = 37.88°, I 17
- 2θ = 40.68°, I 17